Calculated powder X-ray diffraction pattern of Na4Bi2O5 for Cu Kα, from a PBE-relaxed structure.
Peak positions follow from Bragg's law for the DFT cell and can differ from measured ones.

Main lines, by angle (2θ = 15–90°):
d_spacing  intensity  hkl
5.146  89  0 0 2
4.523  100  0 1 1
3.834  32  4 0 0
3.074  42  4 0 2
2.925  84  4 1 1
2.518  25  0 2 0
2.280  23  4 1 3
2.263  34  0 2 2

Cell and atoms:
Lattice parameters (Å, degrees): 15.336 5.035 10.292 90.00 90.00 90.00
Space group Pnna (No. 52)
Symmetry-distinct sites (fractional):
Na1 0.014 0.020 0.146 (multiplicity 8)
Na2 0.166 0.750 0.250 (multiplicity 4)
Na3 0.250 0.000 0.999 (multiplicity 4)
Bi1 0.115 0.025 0.536 (multiplicity 8)
O1 0.042 0.528 0.135 (multiplicity 8)
O2 0.111 0.056 0.972 (multiplicity 8)
O3 0.250 0.000 0.423 (multiplicity 4)

=====

Calculated powder X-ray diffraction pattern of Na4BiPd3O8 for Cu Kα, from a PBE-relaxed structure.
Peak positions follow from Bragg's law for the DFT cell and can differ from measured ones.

Main lines, by angle (2θ = 15–90°):
d_spacing  intensity  hkl
5.355  100  2 0 -1
3.325  33  2 0 1
2.846  26  0 0 2
2.803  45  4 0 0
2.698  25  0 2 1
2.689  43  2 2 0
2.202  49  2 2 -2
1.775  21  2 2 2

Cell and atoms:
Lattice parameters (Å, degrees): 12.508 6.128 6.350 90.00 116.30 90.00
Space group C2/m (No. 12)
Symmetry-distinct sites (fractional):
Na1 0.000 0.000 0.000 (multiplicity 2)
Na2 0.000 0.500 0.000 (multiplicity 2)
Na3 0.250 0.250 0.500 (multiplicity 4)
Bi1 0.000 0.000 0.500 (multiplicity 2)
Pd1 0.000 0.500 0.500 (multiplicity 2)
Pd2 0.250 0.250 0.000 (multiplicity 4)
O1 0.037 0.261 0.317 (multiplicity 8)
O2 0.200 0.000 0.747 (multiplicity 4)
O3 0.231 0.000 0.184 (multiplicity 4)

=====

Calculated powder X-ray diffraction pattern of NaPmBi2O4 for Cu Kα, from a PBE-relaxed structure.
Peak positions follow from Bragg's law for the DFT cell and can differ from measured ones.

Main lines, by angle (2θ = 15–90°):
d_spacing  intensity  hkl
4.473  37  1 0 1
2.981  35  0 0 4
2.961  100  1 1 2
2.413  44  2 0 0
1.876  37  2 0 4
1.717  26  1 1 6
1.481  17  2 2 4
1.478  27  3 1 2

Cell and atoms:
Lattice parameters (Å, degrees): 4.825 4.825 11.926 90.00 90.00 90.00
Space group I-4m2 (No. 119)
Symmetry-distinct sites (fractional):
Na1 0.000 0.000 0.000 (multiplicity 2)
Pm1 0.000 0.500 0.750 (multiplicity 2)
Bi1 0.000 0.000 0.500 (multiplicity 2)
Bi2 0.000 0.500 0.250 (multiplicity 2)
O1 0.000 0.000 0.279 (multiplicity 4)
O2 0.000 0.500 0.555 (multiplicity 4)

=====

Calculated powder X-ray diffraction pattern of Na3Pm2BiO6 for Cu Kα, from a PBE-relaxed structure.
Peak positions follow from Bragg's law for the DFT cell and can differ from measured ones.

Main lines, by angle (2θ = 15–90°):
d_spacing  intensity  hkl
5.658  100  0 0 1
3.024  59  1 3 0
2.890  66  2 0 0
2.829  21  0 0 2
2.489  89  1 3 1
2.278  24  2 0 1
1.746  29  2 0 2
1.693  25  3 3 0

Cell and atoms:
Lattice parameters (Å, degrees): 6.147 10.644 6.017 90.00 109.91 90.00
Space group C2/m (No. 12)
Symmetry-distinct sites (fractional):
Na1 0.000 0.000 0.000 (multiplicity 2)
Na2 0.000 0.337 0.000 (multiplicity 4)
Pm1 0.000 0.167 0.500 (multiplicity 4)
Bi1 0.000 0.500 0.500 (multiplicity 2)
O1 0.234 0.000 0.721 (multiplicity 4)
O2 0.243 0.330 0.720 (multiplicity 8)

=====

Calculated powder X-ray diffraction pattern of Na3Pr3BiO8 for Cu Kα, from a PBE-relaxed structure.
Peak positions follow from Bragg's law for the DFT cell and can differ from measured ones.

Main lines, by angle (2θ = 15–90°):
d_spacing  intensity  hkl
5.639  100  0 0 3
3.069  59  0 2 1
2.927  57  2 0 2
2.511  79  0 2 4
2.294  23  2 0 5
1.802  28  2 2 0
1.751  24  2 0 8
1.716  25  2 2 3

Cell and atoms:
Lattice parameters (Å, degrees): 7.2061 7.2061 16.9176 90.00 90.00 120.00
Space group R-3m (No. 166, hexagonal axes)
Symmetry-distinct sites (fractional):
Na1 0.0000 0.5000 0.0000 (multiplicity 9)
Pr1 0.0000 0.5000 0.5000 (multiplicity 9)
Bi1 0.0000 0.0000 0.5000 (multiplicity 3)
O1 0.0000 0.0000 0.2376 (multiplicity 6)
O2 0.0201 0.5101 0.2368 (multiplicity 18)

=====

Calculated powder X-ray diffraction pattern of NaReBi2O8 for Cu Kα, from a PBE-relaxed structure.
Peak positions follow from Bragg's law for the DFT cell and can differ from measured ones.

Main lines, by angle (2θ = 15–90°):
d_spacing  intensity  hkl
5.025  20  0 0 1
4.060  24  0 1 1
3.553  100  1 0 1
2.841  93  1 2 0
2.517  14  0 0 2
2.508  13  2 0 0
1.883  53  1 2 2
1.879  18  2 2 1

Cell and atoms:
Lattice parameters (Å, degrees): 5.016 6.888 5.034 90.00 90.16 90.00
Space group P2/m (No. 10)
Symmetry-distinct sites (fractional):
Na1 0.000 0.000 0.000 (multiplicity 1)
Re1 0.000 0.500 0.000 (multiplicity 1)
Bi1 0.500 0.246 0.500 (multiplicity 2)
O1 0.184 0.302 0.180 (multiplicity 4)
O2 0.274 0.500 0.721 (multiplicity 2)
O3 0.310 0.000 0.685 (multiplicity 2)